1.
Starting from the GGA-PBE geometry in Alexandria, the powder X-ray diffraction pattern of KTl6Se4 was calculated for Cu Kα X-rays.
Kinematic intensities with the Lorentz-polarization factor, no thermal factor.

Cell and atoms:
```
KTl6Se4
1.0
8.0069 -3.6497 0.0000
8.0069 3.6497 0.0000
-3.1524 0.0000 6.3701
K Tl Se
1 6 4
Cartesian
0.0000 0.0000 0.0000
6.4307 3.6431 3.1851
4.8463 1.5256 0.9079
8.0151 1.5256 5.4622
8.0069 0.0025 0.0000
3.6664 -1.5213 3.3072
9.1950 -1.5213 3.0630
3.9704 1.5789 3.9969
8.8910 1.5789 2.3732
5.5880 -1.5790 0.7409
7.2734 -1.5790 5.6292
```

Most intense lines, 2θ from 10° to 90°, by angle:
d = 4.153 Å, I 100; d = 3.253 Å, I 76; d = 3.185 Å, I 61; d = 3.119 Å, I 54; d = 2.933 Å, I 92; d = 2.559 Å, I 65; d = 2.546 Å, I 89; d = 2.525 Å, I 60; d = 2.392 Å, I 41; d = 2.167 Å, I 33; d = 1.743 Å, I 36; d = 1.479 Å, I 28



2.
Starting from the GGA-PBE geometry in Alexandria, the powder X-ray diffraction pattern of AcLaTh2 was calculated for Cu Kα X-rays.
Kinematic intensities with the Lorentz-polarization factor, no thermal factor.

Cell and atoms:
```
AcLaTh2
1.0
3.6916 0.0000 0.0000
-1.8458 3.1970 0.0000
0.0000 0.0000 36.4336
Ac La Th
3 3 6
Cartesian
0.0000 0.0000 0.0000
0.0000 2.1314 24.2891
1.8458 1.0657 12.1445
0.0000 0.0000 6.1625
0.0000 2.1314 30.4516
1.8458 1.0657 18.3071
0.0000 0.0000 21.2139
0.0000 0.0000 27.4303
0.0000 2.1314 9.0694
0.0000 2.1314 15.2858
1.8458 1.0657 3.1412
1.8458 1.0657 33.3584
```

Most intense lines, 2θ from 10° to 90°, by angle:
d = 3.185 Å, I 15; d = 3.149 Å, I 24; d = 3.036 Å, I 50; d = 3.017 Å, I 20; d = 2.928 Å, I 100; d = 2.724 Å, I 71; d = 2.403 Å, I 17; d = 1.846 Å, I 38; d = 1.780 Å, I 27; d = 1.577 Å, I 45; d = 1.561 Å, I 16; d = 1.172 Å, I 17



3.
Starting from the GGA-PBE geometry in Alexandria, the powder X-ray diffraction pattern of PmB6Mo2 was calculated for Cu Kα X-rays.
Kinematic intensities with the Lorentz-polarization factor, no thermal factor.

Cell and atoms:
```
PmB6Mo2
1.0
-1.5906 3.5074 4.2827
1.5906 -3.5074 4.2827
1.5906 3.5074 -4.2827
Pm B Mo
1 6 2
Cartesian
0.0000 0.0000 0.0000
1.5906 1.8332 -1.6654
1.5906 2.3848 0.0000
1.5906 1.8332 1.6654
0.0000 1.6742 2.6173
0.0000 1.1225 4.2827
0.0000 1.6742 5.9480
1.5906 0.0000 2.9522
0.0000 3.5074 1.3304
```

Most intense lines, 2θ from 10° to 90°, by angle:
d = 3.507 Å, I 86; d = 2.982 Å, I 65; d = 2.644 Å, I 100; d = 2.400 Å, I 71; d = 2.272 Å, I 88; d = 1.809 Å, I 35; d = 1.754 Å, I 17; d = 1.723 Å, I 65; d = 1.512 Å, I 21; d = 1.414 Å, I 19; d = 1.363 Å, I 25; d = 1.195 Å, I 18